# 1
Diffraction record for KRbTl3Cd. The X-ray diffraction stick pattern is simulated, not measured: it uses a DFT-relaxed cell (PBE, Alexandria) and a wavelength of 1.5418 Å.
Neutral-atom scattering factors, no anomalous dispersion.

Largest 12 diffraction maxima, sorted by position, 10° ≤ 2θ ≤ 90°:
two_theta, Rel. int.
17.8, 100
25.9, 26
29.6, 98
30.1, 31
30.3, 49
31.2, 67
34.0, 69
36.1, 31
38.8, 35
40.4, 27
43.9, 22
48.5, 23

Crystal structure
a = 10.806 Å, b = 10.806 Å, c = 5.732 Å
α = 90.03°, β = 90.03°, γ = 140.39°
Fractional positions:
K  0.161  0.839  0.750
K  0.839  0.161  0.250
Rb  0.446  0.554  0.250
Rb  0.554  0.446  0.750
Tl  0.038  0.962  0.250
Tl  0.121  0.453  0.748
Tl  0.453  0.121  0.248
Tl  0.547  0.879  0.752
Tl  0.879  0.547  0.252
Tl  0.962  0.038  0.750
Cd  0.275  0.725  0.250
Cd  0.725  0.275  0.750



# 2
Diffraction record for Tm4ThSc3. The X-ray diffraction stick pattern is simulated, not measured: it uses a DFT-relaxed cell (PBE, Alexandria) and a wavelength of 1.5418 Å.
Neutral-atom scattering factors, no anomalous dispersion.

Largest 12 diffraction maxima, sorted by position, 10° ≤ 2θ ≤ 90°:
two_theta, Rel. int.
13.0, 18
15.9, 17
18.4, 17
22.6, 16
32.1, 100
32.2, 98
37.2, 66
37.4, 33
53.8, 46
63.8, 27
64.1, 54
88.5, 17

Crystal structure
a = 6.852 Å, b = 9.625 Å, c = 6.803 Å
α = 90.00°, β = 90.00°, γ = 90.00°
Fractional positions:
Tm  0.000  0.000  0.000
Tm  0.000  0.500  0.000
Tm  0.250  0.250  0.254
Tm  0.250  0.250  0.744
Tm  0.500  0.000  0.000
Tm  0.500  0.500  0.000
Tm  0.750  0.750  0.256
Tm  0.750  0.750  0.746
Th  0.250  0.750  0.260
Th  0.750  0.250  0.740
Sc  0.000  0.000  0.500
Sc  0.000  0.500  0.500
Sc  0.250  0.750  0.749
Sc  0.500  0.000  0.500
Sc  0.500  0.500  0.500
Sc  0.750  0.250  0.251